K2CeBiO4: calculated powder diffraction line list (Cu Kα), based on DFT lattice parameters and positions (GGA-PBE).
Lines closer than 0.1° are merged.

The 10 most intense peaks (10 to 90 degrees two-theta), by angle:
h k l	2theta	d/Å	Rel. int.
0 0 1	14.1	6.265	100
0 0 2	28.5	3.134	65
1 1 -1	29.7	3.013	57
2 0 0	30.0	2.975	28
1 1 1	34.0	2.635	72
2 0 -2	34.4	2.607	35
1 1 -3	48.2	1.889	24
3 1 -1	50.2	1.819	24
3 1 1	58.7	1.573	19
2 2 -2	61.6	1.506	18

Cell and atoms:
```
K2CeBiO4
1.0
6.2711 0.0000 0.0000
0.0000 3.6911 0.0000
-2.0849 0.0000 6.2651
K Ce Bi O
2 1 1 4
Direct
0.0000 0.0000 0.0000
0.5000 0.5000 0.0000
0.0000 0.5000 0.5000
0.5000 0.0000 0.5000
0.2186 0.0000 0.6907
0.2584 0.5000 0.3056
0.7416 0.5000 0.6944
0.7814 0.0000 0.3093
```